# 1
Diffraction record for NaSrBi2S4. The X-ray powder pattern is theoretical, not measured: it uses a structure optimized by DFT (GGA-PBE) and a wavelength of 1.5418 Å.

abc: 7.036 4.405 7.193
angles: 90.00 110.78 90.00
Element x y z (fractional)
Na  0.000  0.000  0.000
Sr  0.000  0.500  0.500
Bi  0.500  0.000  0.500
Bi  0.500  0.500  0.000
S  0.266  0.000  0.755
S  0.268  0.500  0.256
S  0.732  0.500  0.744
S  0.734  0.000  0.245

Top 10 peaks for 5° ≤ 2θ ≤ 70°, sorted by position:
d = 6.579 Å, I = 71
d = 3.685 Å, I = 33
d = 3.520 Å, I = 52
d = 3.362 Å, I = 23
d = 3.289 Å, I = 23
d = 2.978 Å, I = 100
d = 2.927 Å, I = 48
d = 2.106 Å, I = 37
d = 2.070 Å, I = 35
d = 1.761 Å, I = 30

=====

# 2
Diffraction record for NaBiWS2. The X-ray powder pattern is theoretical, not measured: it uses a structure optimized by DFT (GGA-PBE) and a wavelength of 1.5418 Å.

abc: 5.466 5.466 5.425
angles: 90.00 90.00 90.00
Element x y z (fractional)
Na  0.000  0.000  0.000
Bi  0.500  0.500  0.500
W  0.500  0.500  0.000
S  0.000  0.500  0.500
S  0.500  0.000  0.500

Top 10 peaks for 5° ≤ 2θ ≤ 70°, sorted by position:
d = 5.466 Å, I = 100
d = 3.864 Å, I = 41
d = 2.733 Å, I = 33
d = 2.713 Å, I = 16
d = 2.444 Å, I = 29
d = 2.430 Å, I = 27
d = 2.220 Å, I = 19
d = 1.925 Å, I = 23
d = 1.816 Å, I = 23
d = 1.574 Å, I = 12

=====

# 3
Diffraction record for Na2ZnBiS4. The X-ray powder pattern is theoretical, not measured: it uses a structure optimized by DFT (GGA-PBE) and a wavelength of 1.5418 Å.

abc: 7.829 7.829 7.812
angles: 119.31 119.31 90.46
Element x y z (fractional)
Na  0.000  0.000  0.000
Na  0.000  0.000  0.500
Na  0.000  0.500  0.000
Na  0.500  0.000  0.500
Zn  0.500  0.500  0.000
Zn  0.500  0.500  0.500
Bi  0.000  0.500  0.500
Bi  0.500  0.000  0.000
S  0.258  0.737  0.994
S  0.263  0.742  0.506
S  0.275  0.285  0.511
S  0.285  0.275  0.011
S  0.715  0.725  0.989
S  0.725  0.715  0.489
S  0.737  0.258  0.494
S  0.742  0.263  0.006

Top 10 peaks for 5° ≤ 2θ ≤ 70°, sorted by position:
d = 6.391 Å, I = 100
d = 3.392 Å, I = 22
d = 3.347 Å, I = 43
d = 3.227 Å, I = 23
d = 3.195 Å, I = 22
d = 2.808 Å, I = 45
d = 2.779 Å, I = 43
d = 2.757 Å, I = 41
d = 1.975 Å, I = 31
d = 1.957 Å, I = 29